Sm3MnAlS7: theoretical powder X-ray diffraction pattern (λ = 1.5418 Å (Cu Kα)), based on a cell relaxed with GGA-PBE.
Peak positions follow from Bragg's law for the DFT cell and can differ from measured ones.

Cell and atoms:
```
data_Sm3MnAlS7
_cell_length_a 9.8601
_cell_length_b 9.8601
_cell_length_c 6.2100
_cell_angle_alpha 90.00
_cell_angle_beta 90.00
_cell_angle_gamma 120.00
_symmetry_space_group_name_H-M 'P 63'
_symmetry_Int_Tables_number 173
_symmetry_space_group_name_Hall 'P 6c'
loop_
_atom_site_label
_atom_site_fract_x
_atom_site_fract_y
_atom_site_fract_z
Sm1 0.1515 0.3784 0.0000
Mn1 0.0000 0.0000 0.3047
Al1 0.3333 0.6667 0.4222
S1 0.0944 0.5735 0.2709
S2 0.1006 0.2407 0.5795
S3 0.3333 0.6667 0.7840
```

Top 10 peaks for 10 to 80 degrees two-theta, by intensity:
hkl, 2θ/deg, intensity
2 0 1, 25.31, 100
1 0 1, 17.66, 50
2 0 2, 35.76, 44
3 0 1, 34.67, 43
1 2 0, 27.64, 38
2 2 0, 36.45, 38
1 2 2, 40.31, 35
2 0 3, 48.89, 34
3 1 1, 40.78, 29
1 4 1, 51.18, 26

Mg5Si9: theoretical powder X-ray diffraction pattern (λ = 1.5418 Å (Cu Kα)), based on a cell relaxed with GGA-PBE.
Peak positions follow from Bragg's law for the DFT cell and can differ from measured ones.

Cell and atoms:
```
data_Mg5Si9
_cell_length_a 7.508
_cell_length_b 7.651
_cell_length_c 10.522
_cell_angle_alpha 75.05
_cell_angle_beta 89.67
_cell_angle_gamma 61.39
_symmetry_space_group_name_H-M 'P 1'
_symmetry_Int_Tables_number 1
_symmetry_space_group_name_Hall 'P 1'
loop_
_atom_site_label
_atom_site_fract_x
_atom_site_fract_y
_atom_site_fract_z
Mg1 0.000 0.000 0.000
Mg2 0.022 0.604 0.967
Mg3 0.243 0.562 0.457
Mg4 0.302 0.165 0.972
Mg5 0.383 0.182 0.324
Mg6 0.437 0.460 0.794
Mg7 0.623 0.799 0.698
Mg8 0.647 0.397 0.316
Mg9 0.813 0.860 0.454
Mg10 0.975 0.935 0.702
Si1 0.017 0.300 0.497
Si2 0.025 0.153 0.214
Si3 0.050 0.536 0.715
Si4 0.125 0.970 0.450
Si5 0.236 0.626 0.188
Si6 0.280 0.203 0.677
Si7 0.299 0.894 0.837
Si8 0.388 0.846 0.211
Si9 0.459 0.393 0.066
Si10 0.492 0.768 0.450
Si11 0.573 0.186 0.567
Si12 0.619 0.603 0.963
Si13 0.680 0.998 0.880
Si14 0.698 0.804 0.111
Si15 0.700 0.416 0.599
Si16 0.739 0.069 0.194
Si17 0.856 0.380 0.831
Si18 0.973 0.475 0.257
```

Top 10 peaks for 10 to 80 degrees two-theta, by intensity:
hkl, 2θ/deg, intensity
3 1 -1, 37.17, 100
-2 1 1, 35.67, 72
2 3 2, 37.39, 68
2 2 3, 35.54, 56
1 -1 3, 40.30, 50
2 1 -3, 36.09, 50
-1 2 1, 35.35, 33
1 -2 0, 36.75, 33
-3 1 1, 49.47, 32
1 0 -4, 36.46, 29